Calculated powder diffractogram
Compound: NpCoC
Radiation: Cu Kα (λ = 1.5418 Å)
Structure: a cell relaxed with PBE

Crystal structure
Lattice parameters (Å, degrees): 4.8969 4.8969 4.8406 90.00 90.00 136.01
Positions (direct):
Np  0.1509  0.8491  0.7500
Np  0.8491  0.1509  0.2500
Co  0.4337  0.5663  0.7500
Co  0.5663  0.4337  0.2500
C  0.1390  0.8610  0.2500
C  0.8610  0.1390  0.7500

Main lines, sorted by position (5 to 70 degrees two-theta):
d [Å]  Position (°2θ)  I (rel.)
3.312  26.9  48
2.783  32.2  100
2.420  37.1  38
2.335  38.6  46
2.055  44.1  20
1.680  54.6  34